Record 1
Simulated PXRD pattern of Na2Mg2Au for copper Kα, from a cell relaxed with GGA-PBE.

Crystal structure
```
data_Na2Mg2Au
_space_group_name_H-M_alt 'P 4/m b m'
_space_group_IT_number 127
_space_group_name_Hall '-P 4 2ab'
_cell_length_a 7.045
_cell_length_b 7.045
_cell_length_c 5.414
_cell_angle_alpha 90.00
_cell_angle_beta 90.00
_cell_angle_gamma 90.00
loop_
_atom_site_label
_atom_site_type_symbol
_atom_site_fract_x
_atom_site_fract_y
_atom_site_fract_z
Na1 Na 0.174 0.326 0.000
Mg1 Mg 0.154 0.654 0.500
Au1 Au 0.000 0.000 0.500
```

Top 8 peaks for 2θ = 10–90°, by angle:
(hkl), Position (°2θ), Rel. int.
0 0 1, 16.37, 68
1 1 0, 17.81, 80
1 1 1, 24.28, 100
2 0 1, 30.27, 69
0 0 2, 33.09, 28
3 1 0, 40.49, 45
3 1 1, 43.95, 49
3 1 2, 53.25, 41


Record 2
Simulated PXRD pattern of Pr2Sm3Tm6 for copper Kα, from a cell relaxed with GGA-PBE.

Crystal structure
```
data_Pr2Sm3Tm6
_space_group_name_H-M_alt 'C 1 2/m 1'
_space_group_IT_number 12
_cell_length_a 6.121
_cell_length_b 10.616
_cell_length_c 11.650
_cell_angle_alpha 90.00
_cell_angle_beta 100.12
_cell_angle_gamma 90.00
loop_
_space_group_symop_operation_xyz
'x,y,z'
'-x,-y,-z'
'-x,y,-z'
'x,-y,z'
'x+1/2,y+1/2,z'
'-x+1/2,-y+1/2,-z'
'-x+1/2,y+1/2,-z'
'x+1/2,-y+1/2,z'
loop_
_atom_site_label
_atom_site_type_symbol
_atom_site_fract_x
_atom_site_fract_y
_atom_site_fract_z
Pr1 Pr 0.000 0.167 0.000
Sm1 Sm 0.000 0.000 0.500
Sm2 Sm 0.000 0.336 0.500
Tm1 Tm 0.249 0.500 0.748
Tm2 Tm 0.250 0.167 0.748
```

Top 8 peaks for 2θ = 10–90°, by angle:
(hkl), Position (°2θ), Rel. int.
1 3 1, 31.00, 100
0 0 4, 31.20, 33
2 0 2, 36.00, 67
0 6 0, 51.70, 24
1 3 5, 51.96, 24
4 0 0, 61.62, 33
2 0 6, 61.86, 14
2 6 2, 64.61, 12


Record 3
Simulated PXRD pattern of Ce2CoHg for copper Kα, from a cell relaxed with GGA-PBE.

Crystal structure
```
data_Ce2CoHg
_space_group_name_H-M_alt 'I m a 2'
_space_group_IT_number 46
_cell_length_a 4.834
_cell_length_b 10.684
_cell_length_c 6.719
_cell_angle_alpha 90.00
_cell_angle_beta 90.00
_cell_angle_gamma 90.00
loop_
_space_group_symop_operation_xyz
'x,y,z'
'-x,-y,z'
'-x+1/2,y,z'
'x+1/2,-y,z'
'x+1/2,y+1/2,z+1/2'
'-x+1/2,-y+1/2,z+1/2'
'-x,y+1/2,z+1/2'
'x,-y+1/2,z+1/2'
loop_
_atom_site_label
_atom_site_type_symbol
_atom_site_fract_x
_atom_site_fract_y
_atom_site_fract_z
Ce1 Ce 0.250 0.113 0.000
Ce2 Ce 0.250 0.668 0.250
Co1 Co 0.250 0.607 0.705
Hg1 Hg 0.250 0.095 0.470
```

Top 8 peaks for 2θ = 10–90°, by angle:
(hkl), Position (°2θ), Rel. int.
1 2 1, 28.22, 12
1 3 0, 31.19, 24
0 4 0, 33.55, 100
2 0 0, 37.20, 33
1 3 2, 41.40, 44
2 4 0, 50.96, 15
3 1 2, 64.76, 11
2 0 4, 67.96, 9


Record 4
Simulated PXRD pattern of LiPtI for copper Kα, from a cell relaxed with GGA-PBE.

Crystal structure
```
data_LiPtI
_space_group_name_H-M_alt 'P 1 21/m 1'
_space_group_IT_number 11
_cell_length_a 5.328
_cell_length_b 3.840
_cell_length_c 8.006
_cell_angle_alpha 90.00
_cell_angle_beta 93.85
_cell_angle_gamma 90.00
loop_
_space_group_symop_operation_xyz
'x,y,z'
'-x,-y,-z'
'-x,y+1/2,-z'
'x,-y+1/2,z'
loop_
_atom_site_label
_atom_site_type_symbol
_atom_site_fract_x
_atom_site_fract_y
_atom_site_fract_z
Li1 Li 0.131 0.250 0.386
Pt1 Pt 0.395 0.750 0.585
I1 I 0.213 0.250 0.783
```

Top 8 peaks for 2θ = 10–90°, by angle:
(hkl), Position (°2θ), Rel. int.
0 0 1, 11.08, 83
1 0 0, 16.68, 23
1 0 1, 20.68, 100
1 1 -1, 30.41, 41
0 1 2, 32.34, 34
1 1 -2, 35.87, 42
0 1 3, 41.28, 52
2 1 -1, 42.27, 27